1.
Starting from a cell relaxed with GGA-PBE, the X-ray diffraction stick pattern of KYP2O7 was simulated for Cu Kα.
Lines closer than 0.1° are merged.

Most intense lines, 2θ = 10–90°, in order of rising 2θ:
14.44 deg, rel. 75, hkl 1 1 0; 15.72 deg, rel. 36, hkl 1 1 -1; 21.31 deg, rel. 78, hkl 0 0 2; 24.36 deg, rel. 18, hkl 1 2 1; 27.00 deg, rel. 64, hkl 1 3 0; 28.46 deg, rel. 100, hkl 2 2 -1; 28.66 deg, rel. 41, hkl 1 1 2; 31.96 deg, rel. 17, hkl 1 1 -3; 32.32 deg, rel. 23, hkl 0 4 0; 35.91 deg, rel. 18, hkl 3 1 -1

Cell and atoms:
abc: 7.701 11.081 8.716
angles: 90.00 106.95 90.00
Space group P2_1/c (No. 14)
Unique sites:
K: 0.181 0.178 0.071
Y: 0.231 0.595 0.249
P: 0.129 0.603 0.808
P: 0.445 0.643 0.690
O: 0.013 0.502 0.708
O: 0.068 0.728 0.735
O: 0.133 0.596 0.983
O: 0.336 0.579 0.804
O: 0.339 0.613 0.518
O: 0.366 0.086 0.757
O: 0.457 0.722 0.230


2.
Starting from a cell relaxed with GGA-PBE, the X-ray diffraction stick pattern of KYP2O7 was simulated for Cu Kα.
Lines closer than 0.1° are merged.

Most intense lines, 2θ = 10–90°, in order of rising 2θ:
14.24 deg, rel. 19, hkl 0 0 2; 23.06 deg, rel. 100, hkl 1 1 2; 23.82 deg, rel. 47, hkl 0 2 2; 28.15 deg, rel. 35, hkl 1 1 3; 30.92 deg, rel. 29, hkl 2 0 0; 32.65 deg, rel. 45, hkl 1 3 0; 34.12 deg, rel. 46, hkl 1 1 4; 39.41 deg, rel. 23, hkl 2 2 2; 42.70 deg, rel. 17, hkl 2 0 4; 53.60 deg, rel. 17, hkl 1 5 2

Cell and atoms:
abc: 5.783 9.344 12.440
angles: 90.00 90.00 90.00
Space group Cmcm (No. 63)
Unique sites:
K: 0.000 0.196 0.250
Y: 0.000 0.500 0.000
P: 0.000 0.144 0.630
O: 0.000 0.218 0.750
O: 0.000 0.273 0.555
O: 0.220 0.054 0.623